Entry 1:
# TiP2PbO8
Computed X-ray powder pattern, Cu Kα (weighted mean of Kα1 and Kα2). Input: DFT lattice parameters and positions (GGA-PBE).
Lines closer than 0.1° are merged.

Peak list (10 most intense, 10 to 90 degrees two-theta, low angle first)
2θ 11.7, I 53
2θ 17.9, I 38
2θ 20.1, I 100
2θ 21.4, I 89
2θ 23.5, I 37
2θ 23.6, I 100
2θ 23.8, I 63
2θ 30.6, I 97
2θ 31.6, I 67
2θ 36.7, I 61

Cell and atoms:
Cell: 8.8354 8.8354 8.3208 Å, 114.81 114.81 34.45°
Fractional coordinates of all 24 atoms:
Ti1 0.0000 0.5000 0.0000
Ti2 0.5000 0.0000 0.5000
P1 0.0948 0.6175 0.7419
P2 0.3825 0.9052 0.7581
P3 0.6175 0.0948 0.2419
P4 0.9052 0.3825 0.2581
Pb1 0.3270 0.6730 0.2500
Pb2 0.6730 0.3270 0.7500
O1 0.0193 0.5526 0.8136
O2 0.1271 0.1702 0.8536
O3 0.1702 0.1271 0.3536
O4 0.2369 0.6627 0.8873
O5 0.2912 0.3739 0.6003
O6 0.3373 0.7631 0.6127
O7 0.3739 0.2912 0.1003
O8 0.4474 0.9807 0.6864
O9 0.5526 0.0193 0.3136
O10 0.6261 0.7088 0.8997
O11 0.6627 0.2369 0.3873
O12 0.7088 0.6261 0.3997
O13 0.7631 0.3373 0.1127
O14 0.8298 0.8729 0.6464
O15 0.8729 0.8298 0.1464
O16 0.9807 0.4474 0.1864

=====

Entry 2:
# UP2Pb2O10
Computed X-ray powder pattern, Cu Kα (weighted mean of Kα1 and Kα2). Input: DFT lattice parameters and positions (GGA-PBE).
Lines closer than 0.1° are merged.

Peak list (10 most intense, 10 to 90 degrees two-theta, low angle first)
2θ 20.8, I 69
2θ 20.9, I 100
2θ 21.0, I 43
2θ 25.7, I 57
2θ 26.6, I 75
2θ 27.0, I 58
2θ 27.4, I 30
2θ 27.8, I 68
2θ 30.3, I 58
2θ 31.7, I 60

Cell and atoms:
Cell: 6.7232 6.9726 10.6327 Å, 86.22 78.13 81.48°
Fractional coordinates of all 30 atoms:
U1 0.1145 0.3840 0.1602
U2 0.8855 0.6160 0.8398
P1 0.2770 0.1840 0.4484
P2 0.3668 0.5318 0.8205
P3 0.6332 0.4682 0.1795
P4 0.7230 0.8160 0.5516
Pb1 0.2620 0.0516 0.7712
Pb2 0.2772 0.7024 0.4493
Pb3 0.7228 0.2976 0.5507
Pb4 0.7380 0.9484 0.2288
O1 0.0698 0.6353 0.2122
O2 0.1176 0.2942 0.3716
O3 0.1442 0.1371 0.1057
O4 0.1583 0.0907 0.5729
O5 0.2015 0.4958 0.9442
O6 0.2334 0.6708 0.7383
O7 0.4055 0.3363 0.4777
O8 0.4109 0.0166 0.3672
O9 0.4546 0.3381 0.7555
O10 0.4628 0.3639 0.1485
O11 0.5372 0.6361 0.8515
O12 0.5454 0.6619 0.2445
O13 0.5891 0.9834 0.6328
O14 0.5945 0.6637 0.5223
O15 0.7666 0.3292 0.2617
O16 0.7985 0.5042 0.0558
O17 0.8417 0.9093 0.4271
O18 0.8558 0.8629 0.8943
O19 0.8824 0.7058 0.6284
O20 0.9302 0.3647 0.7878

=====

Entry 3:
# U3P2Pb2O21
Computed X-ray powder pattern, Cu Kα (weighted mean of Kα1 and Kα2). Input: DFT lattice parameters and positions (GGA-PBE).
Lines closer than 0.1° are merged.

Peak list (10 most intense, 10 to 90 degrees two-theta, low angle first)
2θ 12.6, I 46
2θ 14.3, I 52
2θ 15.6, I 37
2θ 20.7, I 100
2θ 23.0, I 46
2θ 23.6, I 99
2θ 25.8, I 46
2θ 29.9, I 59
2θ 30.6, I 45
2θ 31.5, I 55

Cell and atoms:
Cell: 6.9899 16.7150 8.0916 Å, 90.00 106.83 90.00°
Fractional coordinates of all 56 atoms:
U1 0.2011 0.1397 0.4066
U2 0.2011 0.3603 0.4066
U3 0.2992 0.7500 0.5982
U4 0.7008 0.2500 0.4018
U5 0.7989 0.6397 0.5934
U6 0.7989 0.8603 0.5934
P1 0.3121 0.5532 0.6266
P2 0.3121 0.9468 0.6266
P3 0.6879 0.0532 0.3734
P4 0.6879 0.4468 0.3734
Pb1 0.3454 0.1060 0.9259
Pb2 0.3454 0.3940 0.9259
Pb3 0.6546 0.6060 0.0741
Pb4 0.6546 0.8940 0.0741
O1 0.0087 0.2500 0.3672
O2 0.0711 0.0627 0.9150
O3 0.0711 0.4373 0.9150
O4 0.1358 0.6075 0.6380
O5 0.1358 0.8925 0.6380
O6 0.1760 0.1294 0.1712
O7 0.1760 0.3706 0.1712
O8 0.1846 0.7500 0.3692
O9 0.2367 0.1505 0.6448
O10 0.2367 0.3495 0.6448
O11 0.2423 0.0089 0.4814
O12 0.2423 0.4911 0.4814
O13 0.2983 0.2500 0.9503
O14 0.3743 0.6514 0.0428
O15 0.3743 0.8486 0.0428
O16 0.3885 0.2500 0.4249
O17 0.4211 0.5139 0.8031
O18 0.4211 0.9861 0.8031
O19 0.4243 0.7500 0.8388
O20 0.4531 0.6157 0.5794
O21 0.4531 0.8843 0.5794
O22 0.5469 0.1157 0.4206
O23 0.5469 0.3843 0.4206
O24 0.5757 0.2500 0.1612
O25 0.5789 0.0139 0.1969
O26 0.5789 0.4861 0.1969
O27 0.6115 0.7500 0.5751
O28 0.6257 0.1514 0.9572
O29 0.6257 0.3486 0.9572
O30 0.7017 0.7500 0.0497
O31 0.7577 0.5089 0.5186
O32 0.7577 0.9911 0.5186
O33 0.7633 0.6505 0.3552
O34 0.7633 0.8495 0.3552
O35 0.8154 0.2500 0.6308
O36 0.8240 0.6294 0.8288
O37 0.8240 0.8706 0.8288
O38 0.8642 0.1075 0.3620
O39 0.8642 0.3925 0.3620
O40 0.9289 0.5627 0.0850
O41 0.9289 0.9373 0.0850
O42 0.9913 0.7500 0.6328

=====

Entry 4:
# P2Pd2O7
Computed X-ray powder pattern, Cu Kα (weighted mean of Kα1 and Kα2). Input: DFT lattice parameters and positions (GGA-PBE).
Lines closer than 0.1° are merged.

Peak list (10 most intense, 10 to 90 degrees two-theta, low angle first)
2θ 21.4, I 100
2θ 21.8, I 29
2θ 26.2, I 38
2θ 27.6, I 64
2θ 29.1, I 43
2θ 29.5, I 30
2θ 32.4, I 41
2θ 36.2, I 47
2θ 38.2, I 30
2θ 41.6, I 29

Cell and atoms:
Cell: 7.2037 7.2037 8.2189 Å, 97.26 97.26 43.62°
Fractional coordinates of all 22 atoms:
P1 0.0177 0.7644 0.7319
P2 0.2356 0.9823 0.7681
P3 0.7644 0.0177 0.2319
P4 0.9823 0.2356 0.2681
Pd1 0.0000 0.5000 0.0000
Pd2 0.5000 0.0000 0.5000
Pd3 0.5000 0.5000 0.0000
Pd4 0.5000 0.5000 0.5000
O1 0.0117 0.9883 0.2500
O2 0.1143 0.2640 0.7905
O3 0.1345 0.6415 0.9077
O4 0.2059 0.5697 0.5942
O5 0.2640 0.1143 0.2905
O6 0.3585 0.8655 0.5923
O7 0.4303 0.7941 0.9058
O8 0.5697 0.2059 0.0942
O9 0.6415 0.1345 0.4077
O10 0.7360 0.8857 0.7095
O11 0.7941 0.4303 0.4058
O12 0.8655 0.3585 0.0923
O13 0.8857 0.7360 0.2095
O14 0.9883 0.0117 0.7500

=====

Entry 5:
# SrP2PdO7
Computed X-ray powder pattern, Cu Kα (weighted mean of Kα1 and Kα2). Input: DFT lattice parameters and positions (GGA-PBE).
Lines closer than 0.1° are merged.

Peak list (10 most intense, 10 to 90 degrees two-theta, low angle first)
2θ 13.6, I 61
2θ 23.0, I 92
2θ 27.3, I 48
2θ 32.3, I 44
2θ 32.5, I 100
2θ 38.3, I 21
2θ 41.5, I 19
2θ 46.9, I 52
2θ 59.9, I 16
2θ 68.1, I 18

Cell and atoms:
Cell: 13.6064 6.0736 7.4367 Å, 90.00 90.00 90.00°
Fractional coordinates of all 44 atoms:
Sr1 0.2420 0.2500 0.2434
Sr2 0.2580 0.7500 0.7434
Sr3 0.7420 0.2500 0.2566
Sr4 0.7580 0.7500 0.7566
P1 0.0893 0.7500 0.1771
P2 0.1222 0.2500 0.7842
P3 0.3778 0.7500 0.2842
P4 0.4107 0.2500 0.6771
P5 0.5893 0.7500 0.3229
P6 0.6222 0.2500 0.7158
P7 0.8778 0.7500 0.2158
P8 0.9107 0.2500 0.8229
Pd1 0.0000 0.0000 0.5000
Pd2 0.0000 0.5000 0.5000
Pd3 0.5000 0.0000 0.0000
Pd4 0.5000 0.5000 0.0000
O1 0.0224 0.2500 0.9033
O2 0.0970 0.5345 0.2906
O3 0.0970 0.9655 0.2906
O4 0.1203 0.0377 0.6659
O5 0.1203 0.4623 0.6659
O6 0.1616 0.7500 0.0262
O7 0.2081 0.2500 0.9104
O8 0.2919 0.7500 0.4104
O9 0.3384 0.2500 0.5262
O10 0.3797 0.5377 0.1659
O11 0.3797 0.9623 0.1659
O12 0.4030 0.0345 0.7906
O13 0.4030 0.4655 0.7906
O14 0.4776 0.7500 0.4033
O15 0.5224 0.2500 0.5967
O16 0.5970 0.5345 0.2094
O17 0.5970 0.9655 0.2094
O18 0.6203 0.0377 0.8341
O19 0.6203 0.4623 0.8341
O20 0.6616 0.7500 0.4738
O21 0.7081 0.2500 0.5896
O22 0.7919 0.7500 0.0896
O23 0.8384 0.2500 0.9738
O24 0.8797 0.5377 0.3341
O25 0.8797 0.9623 0.3341
O26 0.9030 0.0345 0.7094
O27 0.9030 0.4655 0.7094
O28 0.9776 0.7500 0.0967

=====

Entry 6:
# Tl2P4Pd3O14
Computed X-ray powder pattern, Cu Kα (weighted mean of Kα1 and Kα2). Input: DFT lattice parameters and positions (GGA-PBE).
Lines closer than 0.1° are merged.

Peak list (10 most intense, 10 to 90 degrees two-theta, low angle first)
2θ 21.5, I 100
2θ 27.0, I 21
2θ 27.2, I 44
2θ 27.8, I 69
2θ 30.5, I 65
2θ 30.7, I 50
2θ 35.4, I 21
2θ 37.7, I 22
2θ 39.7, I 36
2θ 49.1, I 21

Cell and atoms:
Cell: 10.1099 10.1099 10.1099 Å, 119.77 90.55 119.59°
Fractional coordinates of all 46 atoms:
Tl1 0.2103 0.1864 0.0239
Tl2 0.3375 0.8136 0.5239
Tl3 0.6625 0.1864 0.4761
Tl4 0.7897 0.8136 0.9761
P1 0.1252 0.2557 0.4300
P2 0.1252 0.6953 0.8695
P3 0.3258 0.2557 0.6305
P4 0.3258 0.6953 0.0700
P5 0.6742 0.3047 0.9300
P6 0.6742 0.7443 0.3695
P7 0.8748 0.3047 0.1305
P8 0.8748 0.7443 0.5700
Pd1 0.0000 0.5000 0.5000
Pd2 0.1906 0.9406 0.2500
Pd3 0.5000 0.0000 0.0000
Pd4 0.5000 0.5000 0.0000
Pd5 0.5000 0.5000 0.5000
Pd6 0.8094 0.0594 0.7500
O1 0.0240 0.4552 0.2841
O2 0.0240 0.7399 0.5688
O3 0.0794 0.0704 0.2752
O4 0.0794 0.8042 0.0090
O5 0.1699 0.2529 0.5830
O6 0.1699 0.5869 0.9170
O7 0.2707 0.4321 0.4533
O8 0.2707 0.8174 0.8386
O9 0.2952 0.0704 0.4910
O10 0.2952 0.8042 0.2248
O11 0.3289 0.2601 0.7841
O12 0.3289 0.5448 0.0688
O13 0.4787 0.4321 0.6614
O14 0.4787 0.8174 0.0467
O15 0.5213 0.1826 0.9533
O16 0.5213 0.5679 0.3386
O17 0.6711 0.4552 0.9312
O18 0.6711 0.7399 0.2159
O19 0.7048 0.1958 0.7752
O20 0.7048 0.9296 0.5090
O21 0.7293 0.1826 0.1614
O22 0.7293 0.5679 0.5467
O23 0.8301 0.4131 0.0830
O24 0.8301 0.7471 0.4170
O25 0.9206 0.1958 0.9910
O26 0.9206 0.9296 0.7248
O27 0.9760 0.2601 0.4312
O28 0.9760 0.5448 0.7159

=====

Entry 7:
# ZnP2PdO7
Computed X-ray powder pattern, Cu Kα (weighted mean of Kα1 and Kα2). Input: DFT lattice parameters and positions (GGA-PBE).
Lines closer than 0.1° are merged.

Peak list (10 most intense, 10 to 90 degrees two-theta, low angle first)
2θ 14.7, I 63
2θ 24.4, I 55
2θ 25.0, I 60
2θ 29.7, I 59
2θ 33.3, I 63
2θ 33.6, I 100
2θ 35.0, I 51
2θ 40.1, I 26
2θ 50.0, I 41
2θ 63.4, I 26

Cell and atoms:
Cell: 12.5033 5.9558 6.8582 Å, 90.00 90.00 90.00°
Fractional coordinates of all 44 atoms:
Zn1 0.2444 0.2500 0.2458
Zn2 0.2556 0.7500 0.7458
Zn3 0.7444 0.2500 0.2542
Zn4 0.7556 0.7500 0.7542
P1 0.1125 0.2500 0.6661
P2 0.1169 0.7500 0.3313
P3 0.3831 0.2500 0.8313
P4 0.3875 0.7500 0.1661
P5 0.6125 0.2500 0.8339
P6 0.6169 0.7500 0.1687
P7 0.8831 0.2500 0.6687
P8 0.8875 0.7500 0.3339
Pd1 0.0000 0.0000 0.0000
Pd2 0.0000 0.5000 0.0000
Pd3 0.5000 0.0000 0.5000
Pd4 0.5000 0.5000 0.5000
O1 0.0028 0.7500 0.4426
O2 0.1161 0.0302 0.7891
O3 0.1161 0.4698 0.7891
O4 0.1201 0.5312 0.2061
O5 0.1201 0.9688 0.2061
O6 0.1986 0.2500 0.5141
O7 0.2037 0.7500 0.4819
O8 0.2963 0.2500 0.9819
O9 0.3014 0.7500 0.0141
O10 0.3799 0.0312 0.7061
O11 0.3799 0.4688 0.7061
O12 0.3839 0.5302 0.2891
O13 0.3839 0.9698 0.2891
O14 0.4972 0.2500 0.9426
O15 0.5028 0.7500 0.0574
O16 0.6161 0.0302 0.7109
O17 0.6161 0.4698 0.7109
O18 0.6201 0.5312 0.2939
O19 0.6201 0.9688 0.2939
O20 0.6986 0.2500 0.9859
O21 0.7037 0.7500 0.0181
O22 0.7963 0.2500 0.5181
O23 0.8014 0.7500 0.4859
O24 0.8799 0.0312 0.7939
O25 0.8799 0.4688 0.7939
O26 0.8839 0.5302 0.2109
O27 0.8839 0.9698 0.2109
O28 0.9972 0.2500 0.5574

=====

Entry 8:
# PrPO4
Computed X-ray powder pattern, Cu Kα (weighted mean of Kα1 and Kα2). Input: DFT lattice parameters and positions (GGA-PBE).
Lines closer than 0.1° are merged.

Peak list (10 most intense, 10 to 90 degrees two-theta, low angle first)
2θ 18.7, I 45
2θ 24.7, I 100
2θ 31.1, I 21
2θ 33.5, I 65
2θ 35.1, I 20
2θ 40.1, I 20
2θ 47.7, I 21
2θ 49.3, I 52
2θ 50.6, I 14
2θ 62.0, I 15

Cell and atoms:
Cell: 5.9945 5.9945 5.9945 Å, 105.93 105.93 116.82°
Fractional coordinates of all 12 atoms:
Pr1 0.3750 0.6250 0.7500
Pr2 0.6250 0.3750 0.2500
P1 0.1250 0.8750 0.2500
P2 0.8750 0.1250 0.7500
O1 0.1416 0.7220 0.4196
O2 0.1976 0.2780 0.9196
O3 0.2780 0.1976 0.4196
O4 0.2780 0.8584 0.0804
O5 0.7220 0.1416 0.9196
O6 0.7220 0.8024 0.5804
O7 0.8024 0.7220 0.0804
O8 0.8584 0.2780 0.5804